This entry pairs a crystal structure of Li8Mn7FeB8O24 with its theoretical X-ray diffraction stick pattern. Radiation: Cu Kα (weighted mean of Kα1 and Kα2). Structure: a DFT-relaxed cell (GGA+U, the Materials Project).

Cell and atoms:
```
data_Li8Mn7FeB8O24
_chemical_formula_sum 'Li8 Mn7 Fe1 B8 O24'
_cell_length_a 5.186
_cell_length_b 6.044
_cell_length_c 17.879
_cell_angle_alpha 84.17
_cell_angle_beta 82.85
_cell_angle_gamma 66.85
_symmetry_space_group_name_H-M 'P 1'
_symmetry_Int_Tables_number 1
_symmetry_space_group_name_Hall 'P 1'
loop_
_atom_site_label
_atom_site_type_symbol
_atom_site_fract_x
_atom_site_fract_y
_atom_site_fract_z
Li1 Li 0.000 0.000 0.000
Li2 Li 0.000 0.498 0.500
Li3 Li 0.495 0.158 0.184
Li4 Li 0.496 0.658 0.683
Li5 Li 0.500 0.250 0.750
Li6 Li 0.500 0.750 0.250
Li7 Li 0.995 0.908 0.434
Li8 Li 0.996 0.408 0.934
Mn1 Mn 0.034 0.750 0.155
Mn2 Mn 0.037 0.248 0.655
Mn3 Mn 0.461 0.408 0.029
Mn4 Mn 0.534 0.000 0.905
Mn5 Mn 0.535 0.501 0.406
Mn6 Mn 0.961 0.158 0.279
Mn7 Mn 0.961 0.657 0.779
Fe1 Fe 0.470 0.904 0.528
B1 B 0.019 0.110 0.824
B2 B 0.019 0.610 0.324
B3 B 0.476 0.048 0.361
B4 B 0.477 0.548 0.860
B5 B 0.519 0.360 0.574
B6 B 0.519 0.860 0.074
B7 B 0.975 0.799 0.610
B8 B 0.977 0.298 0.110
O1 O 0.106 0.073 0.896
O2 O 0.106 0.573 0.396
O3 O 0.131 0.230 0.766
O4 O 0.131 0.730 0.267
O5 O 0.189 0.372 0.125
O6 O 0.191 0.872 0.622
O7 O 0.307 0.786 0.059
O8 O 0.308 0.285 0.559
O9 O 0.365 0.428 0.917
O10 O 0.365 0.929 0.419
O11 O 0.388 0.084 0.289
O12 O 0.390 0.586 0.788
O13 O 0.606 0.822 0.146
O14 O 0.607 0.322 0.646
O15 O 0.630 0.482 0.517
O16 O 0.631 0.980 0.017
O17 O 0.689 0.622 0.875
O18 O 0.690 0.122 0.375
O19 O 0.806 0.536 0.309
O20 O 0.807 0.036 0.809
O21 O 0.865 0.178 0.167
O22 O 0.866 0.679 0.667
O23 O 0.879 0.839 0.539
O24 O 0.889 0.336 0.038
```

The 8 most intense peaks (5 to 70 degrees two-theta), sorted by position:
2θ = 20.4°, intensity 78, (1 0 2)
2θ = 22.0°, intensity 34, (1 0 -2)
2θ = 22.6°, intensity 60, (0 1 -3)
2θ = 33.3°, intensity 100, (0 2 2)
2θ = 34.0°, intensity 32, (1 1 -5)
2θ = 34.6°, intensity 28, (2 1 1)
2θ = 40.0°, intensity 27, (2 1 -3)
2θ = 40.7°, intensity 56, (0 0 8)

This entry pairs a crystal structure of Li2MnFeB2O6 with its theoretical X-ray diffraction stick pattern. Radiation: Cu Kα (weighted mean of Kα1 and Kα2). Structure: a DFT-relaxed cell (GGA+U, the Materials Project).

Cell and atoms:
```
data_Li2MnFeB2O6
_chemical_formula_sum 'Li6 Mn3 Fe3 B6 O18'
_cell_length_a 8.256
_cell_length_b 6.323
_cell_length_c 8.264
_cell_angle_alpha 90.00
_cell_angle_beta 119.87
_cell_angle_gamma 90.00
_symmetry_space_group_name_H-M 'P 1 m 1'
_symmetry_Int_Tables_number 6
_symmetry_space_group_name_Hall 'P -2y'
loop_
_atom_site_label
_atom_site_type_symbol
_atom_site_fract_x
_atom_site_fract_y
_atom_site_fract_z
Li1 Li 0.000 0.249 0.000
Li2 Li 0.266 0.250 0.586
Li3 Li 0.584 0.250 0.318
Mn1 Mn 0.643 0.500 0.673
Mn2 Mn 0.910 0.000 0.290
Mn3 Mn 0.911 0.500 0.290
Fe1 Fe 0.291 0.000 0.942
Fe2 Fe 0.291 0.500 0.943
Fe3 Fe 0.642 0.000 0.668
B1 B 0.285 0.000 0.303
B2 B 0.285 0.500 0.301
B3 B 0.614 0.249 0.966
B4 B 0.951 0.248 0.638
O1 O 0.145 0.250 0.745
O2 O 0.172 0.500 0.107
O3 O 0.176 0.000 0.110
O4 O 0.202 0.000 0.414
O5 O 0.204 0.500 0.414
O6 O 0.478 0.500 0.380
O7 O 0.480 0.000 0.387
O8 O 0.501 0.250 0.047
O9 O 0.534 0.247 0.773
O10 O 0.808 0.250 0.079
O11 O 0.843 0.246 0.723
O12 O 0.865 0.250 0.444
```

The 8 most intense peaks (5 to 70 degrees two-theta), sorted by position:
2θ = 21.5°, intensity 100, (2 0 -1)
2θ = 30.9°, intensity 17, (1 2 0)
2θ = 33.1°, intensity 16, (1 0 2)
2θ = 35.8°, intensity 79, (2 2 -1)
2θ = 37.7°, intensity 32, (3 0 0)
2θ = 47.8°, intensity 28, (0 2 3)
2θ = 52.9°, intensity 17, (2 2 -4)
2θ = 54.6°, intensity 13, (3 2 1)

This entry pairs a crystal structure of Li4MnFe3B4O12 with its theoretical X-ray diffraction stick pattern. Radiation: Cu Kα (weighted mean of Kα1 and Kα2). Structure: a DFT-relaxed cell (GGA+U, the Materials Project).

Cell and atoms:
```
data_Li4MnFe3B4O12
_chemical_formula_sum 'Li4 Mn1 Fe3 B4 O12'
_cell_length_a 5.209
_cell_length_b 5.217
_cell_length_c 10.403
_cell_angle_alpha 90.67
_cell_angle_beta 91.01
_cell_angle_gamma 119.74
_symmetry_space_group_name_H-M 'P 1'
_symmetry_Int_Tables_number 1
_symmetry_space_group_name_Hall 'P 1'
loop_
_atom_site_label
_atom_site_type_symbol
_atom_site_fract_x
_atom_site_fract_y
_atom_site_fract_z
Li1 Li 0.000 0.000 0.000
Li2 Li 0.011 0.993 0.500
Li3 Li 0.315 0.331 0.253
Li4 Li 0.341 0.305 0.750
Mn1 Mn 0.334 0.657 0.967
Fe1 Fe 0.665 0.971 0.716
Fe2 Fe 0.671 0.319 0.465
Fe3 Fe 0.979 0.658 0.215
B1 B 0.326 0.657 0.459
B2 B 0.657 0.992 0.210
B3 B 0.666 0.318 0.959
B4 B 0.999 0.649 0.709
O1 O 0.024 0.925 0.695
O2 O 0.077 0.685 0.429
O3 O 0.246 0.628 0.748
O4 O 0.309 0.386 0.445
O5 O 0.389 0.290 0.945
O6 O 0.404 0.721 0.182
O7 O 0.589 0.906 0.500
O8 O 0.635 0.235 0.249
O9 O 0.703 0.076 0.927
O10 O 0.730 0.396 0.680
O11 O 0.908 0.583 0.002
O12 O 0.934 0.016 0.196
```

The 8 most intense peaks (5 to 70 degrees two-theta), sorted by position:
2θ = 19.7°, intensity 50, (1 -1 0)
2θ = 21.5°, intensity 30, (-1 1 1)
2θ = 21.6°, intensity 49, (0 1 1)
2θ = 25.8°, intensity 34, (0 1 -2)
2θ = 26.4°, intensity 23, (0 1 2)
2θ = 34.3°, intensity 41, (1 -2 0)
2θ = 34.5°, intensity 100, (0 0 4)
2θ = 40.6°, intensity 34, (0 2 -1)

This entry pairs a crystal structure of Li8Mn7FeB8O24 with its theoretical X-ray diffraction stick pattern. Radiation: Cu Kα (weighted mean of Kα1 and Kα2). Structure: a DFT-relaxed cell (GGA+U, the Materials Project).

Cell and atoms:
```
data_Li8Mn7FeB8O24
_chemical_formula_sum 'Li8 Mn7 Fe1 B8 O24'
_cell_length_a 5.255
_cell_length_b 8.294
_cell_length_c 12.126
_cell_angle_alpha 103.30
_cell_angle_beta 90.66
_cell_angle_gamma 90.74
_symmetry_space_group_name_H-M 'P 1'
_symmetry_Int_Tables_number 1
_symmetry_space_group_name_Hall 'P 1'
loop_
_atom_site_label
_atom_site_type_symbol
_atom_site_fract_x
_atom_site_fract_y
_atom_site_fract_z
Li1 Li 0.000 0.000 0.000
Li2 Li 0.001 0.001 0.499
Li3 Li 0.302 0.564 0.955
Li4 Li 0.304 0.562 0.454
Li5 Li 0.500 0.499 0.250
Li6 Li 0.500 0.500 0.750
Li7 Li 0.801 0.063 0.204
Li8 Li 0.802 0.064 0.704
Mn1 Mn 0.319 0.201 0.820
Mn2 Mn 0.482 0.865 0.383
Mn3 Mn 0.483 0.862 0.884
Mn4 Mn 0.819 0.701 0.070
Mn5 Mn 0.819 0.703 0.570
Mn6 Mn 0.983 0.362 0.634
Mn7 Mn 0.985 0.362 0.134
Fe1 Fe 0.315 0.203 0.319
B1 B 0.320 0.880 0.144
B2 B 0.321 0.877 0.644
B3 B 0.481 0.187 0.560
B4 B 0.482 0.186 0.061
B5 B 0.820 0.378 0.894
B6 B 0.822 0.374 0.394
B7 B 0.982 0.685 0.311
B8 B 0.982 0.686 0.810
O1 O 0.060 0.904 0.140
O2 O 0.062 0.905 0.640
O3 O 0.241 0.659 0.315
O4 O 0.241 0.659 0.815
O5 O 0.332 0.095 0.469
O6 O 0.333 0.094 0.970
O7 O 0.364 0.299 0.147
O8 O 0.364 0.299 0.647
O9 O 0.437 0.764 0.557
O10 O 0.438 0.766 0.058
O11 O 0.467 0.974 0.234
O12 O 0.470 0.970 0.734
O13 O 0.561 0.405 0.890
O14 O 0.563 0.396 0.387
O15 O 0.740 0.159 0.564
O16 O 0.741 0.160 0.065
O17 O 0.833 0.592 0.220
O18 O 0.833 0.593 0.720
O19 O 0.863 0.798 0.397
O20 O 0.864 0.798 0.897
O21 O 0.938 0.265 0.807
O22 O 0.945 0.260 0.309
O23 O 0.967 0.471 0.484
O24 O 0.969 0.470 0.984
```

The 8 most intense peaks (5 to 70 degrees two-theta), sorted by position:
2θ = 20.3°, intensity 78, (1 1 0)
2θ = 22.0°, intensity 34, (0 2 0)
2θ = 22.5°, intensity 59, (1 0 -2)
2θ = 33.2°, intensity 100, (0 2 -4)
2θ = 33.9°, intensity 33, (-1 2 2)
2θ = 34.1°, intensity 26, (2 0 0)
2θ = 34.5°, intensity 28, (1 2 2)
2θ = 40.7°, intensity 34, (2 -2 0)